Calculated XRD peak list
Compound: Y3Pb2
Radiation: Cu Kα (λ = 1.5418 Å)
Structure: a cell relaxed with GGA-PBE
Kinematic intensities with the Lorentz-polarization factor, no thermal factor.

Cell and atoms:
Lattice parameters (Å, degrees): 5.278 5.278 6.597 90.00 90.00 60.09
Atoms (fractional coordinates):
Y 0.000 0.000 0.000
Y 0.333 0.333 0.686
Y 0.667 0.667 0.314
Pb 0.333 0.333 0.207
Pb 0.667 0.667 0.793

Main lines, by intensity (5 to 70 degrees two-theta):
2θ (°)	intensity
33.95	100
33.50	88
23.67	45
19.41	35
60.47	32
43.93	32
48.44	31
59.59	19
27.03	19
60.76	19

Calculated XRD peak list
Compound: Tb8Pm2Er3
Radiation: Cu Kα (λ = 1.5418 Å)
Structure: a cell relaxed with GGA-PBE
Kinematic intensities with the Lorentz-polarization factor, no thermal factor.

Cell and atoms:
Lattice parameters (Å, degrees): 11.707 20.709 3.510 90.00 90.00 90.00
Atoms (fractional coordinates):
Tb 0.046 0.072 0.000
Tb 0.052 0.342 0.500
Tb 0.128 0.784 0.000
Tb 0.209 0.947 0.500
Tb 0.291 0.447 0.500
Tb 0.372 0.284 0.000
Tb 0.448 0.842 0.500
Tb 0.454 0.572 0.000
Tb 0.546 0.428 0.000
Tb 0.552 0.158 0.500
Tb 0.628 0.716 0.000
Tb 0.709 0.553 0.500
Tb 0.791 0.053 0.500
Tb 0.872 0.216 0.000
Tb 0.948 0.658 0.500
Tb 0.954 0.928 0.000
Pm 0.180 0.599 0.000
Pm 0.320 0.099 0.000
Pm 0.680 0.901 0.000
Pm 0.820 0.401 0.000
Er 0.000 0.500 0.500
Er 0.144 0.201 0.500
Er 0.356 0.701 0.500
Er 0.500 0.000 0.500
Er 0.644 0.299 0.500
Er 0.856 0.799 0.500

Main lines, by intensity (5 to 70 degrees two-theta):
2θ (°)	intensity
31.75	100
34.65	71
30.00	71
31.18	56
31.50	55
33.25	32
36.51	32
62.16	25
28.65	23
52.11	23